# ZnFeH4O2F5
Simulated powder XRD pattern, copper Kα. Input: the GGA+U geometry in Alexandria.
Neutral-atom scattering factors, no anomalous dispersion.

Top 6 peaks for 15 to 90 degrees two-theta, in order of rising 2θ:
2theta  I/Imax  (hkl)
15.9  100  0 1 1
18.0  52  1 0 1
24.2  61  1 2 1
28.5  73  2 2 0
32.1  42  0 2 2
49.6  48  2 4 2

Cell and atoms:
Cell lengths 7.602, 11.027, 6.465 Å; angles 90.00, 90.00, 90.00 degrees
Space group Imma (No. 74)
Symmetry-distinct sites (fractional):
Zn  0.000  0.000  0.000 x4
Fe  0.250  0.250  0.250 x4
H  0.104  0.086  0.625 x16
O  0.000  0.058  0.702 x8
F  0.000  0.250  0.331 x4
F  0.209  0.124  0.042 x16